Simulated powder diffraction line list of KZn3C4O12 for Cu Kα, from a cell relaxed with PBE.
Peak positions follow from Bragg's law for the DFT cell and can differ from measured ones.

Structural model:
a = 6.240 Å, b = 6.240 Å, c = 6.240 Å
α = 101.79°, β = 101.79°, γ = 101.79°
Sites, in units of the cell vectors:
K1 0.000 0.000 0.000
Zn1 0.000 0.541 0.459
Zn2 0.459 0.000 0.541
Zn3 0.541 0.459 0.000
C1 0.042 0.500 0.958
C2 0.500 0.500 0.500
C3 0.500 0.958 0.042
C4 0.958 0.042 0.500
O1 0.002 0.592 0.794
O2 0.094 0.906 0.500
O3 0.206 0.408 0.998
O4 0.366 0.634 0.500
O5 0.408 0.998 0.206
O6 0.500 0.094 0.906
O7 0.500 0.366 0.634
O8 0.592 0.794 0.002
O9 0.634 0.500 0.366
O10 0.794 0.002 0.592
O11 0.906 0.500 0.094
O12 0.998 0.206 0.408

Principal peaks in the range 10° ≤ 2θ ≤ 90°, by angle:
Position (°2θ), intensity
18.32, 148
23.77, 316
30.18, 168
30.28, 1000
37.14, 164
44.62, 384
48.92, 191
50.03, 191
57.06, 117
62.71, 98



Simulated powder diffraction line list of Ce6Ni6P17 for Cu Kα, from a cell relaxed with PBE.
Peak positions follow from Bragg's law for the DFT cell and can differ from measured ones.

Structural model:
a = 8.689 Å, b = 8.689 Å, c = 8.689 Å
α = 109.47°, β = 109.47°, γ = 109.47°
Sites, in units of the cell vectors:
Ce1 0.000 0.291 0.291
Ce2 0.000 0.709 0.709
Ce3 0.291 0.000 0.291
Ce4 0.291 0.291 0.000
Ce5 0.709 0.000 0.709
Ce6 0.709 0.709 0.000
Ni1 0.250 0.500 0.750
Ni2 0.250 0.750 0.500
Ni3 0.500 0.250 0.750
Ni4 0.500 0.750 0.250
Ni5 0.750 0.250 0.500
Ni6 0.750 0.500 0.250
P1 0.000 0.000 0.000
P2 0.000 0.000 0.415
P3 0.000 0.229 0.631
P4 0.000 0.415 0.000
P5 0.000 0.631 0.229
P6 0.229 0.000 0.631
P7 0.229 0.631 0.000
P8 0.369 0.369 0.598
P9 0.369 0.598 0.369
P10 0.402 0.771 0.771
P11 0.415 0.000 0.000
P12 0.585 0.585 0.585
P13 0.598 0.369 0.369
P14 0.631 0.000 0.229
P15 0.631 0.229 0.000
P16 0.771 0.402 0.771
P17 0.771 0.771 0.402

Principal peaks in the range 10° ≤ 2θ ≤ 90°, by angle:
Position (°2θ), intensity
21.70, 186
28.12, 400
30.87, 1000
35.80, 753
38.05, 639
44.22, 223
49.77, 201
51.52, 348
61.28, 363
68.75, 233



Simulated powder diffraction line list of CaZr2Mn for Cu Kα, from a cell relaxed with PBE.
Peak positions follow from Bragg's law for the DFT cell and can differ from measured ones.

Structural model:
a = 3.338 Å, b = 3.338 Å, c = 8.622 Å
α = 90.00°, β = 90.00°, γ = 90.00°
Sites, in units of the cell vectors:
Ca1 0.000 0.000 0.000
Zr1 0.000 0.000 0.433
Zr2 0.500 0.500 0.668
Mn1 0.500 0.500 0.259

Principal peaks in the range 10° ≤ 2θ ≤ 90°, by angle:
Position (°2θ), intensity
10.26, 559
28.68, 99
33.97, 1000
38.13, 458
41.46, 247
55.02, 150
57.94, 90
66.26, 261
67.24, 89
71.17, 93



Simulated powder diffraction line list of HfUNb2C4 for Cu Kα, from a cell relaxed with PBE.
Peak positions follow from Bragg's law for the DFT cell and can differ from measured ones.

Structural model:
a = 11.130 Å, b = 11.130 Å, c = 11.130 Å
α = 16.72°, β = 16.72°, γ = 16.72°
Sites, in units of the cell vectors:
Hf1 0.000 0.000 0.000
U1 0.245 0.245 0.245
Nb1 0.492 0.492 0.492
Nb2 0.747 0.747 0.747
C1 0.119 0.119 0.119
C2 0.375 0.375 0.375
C3 0.625 0.625 0.625
C4 0.864 0.864 0.864

Principal peaks in the range 10° ≤ 2θ ≤ 90°, by angle:
Position (°2θ), intensity
32.65, 352
33.78, 1000
34.78, 113
38.87, 890
55.40, 293
56.89, 295
65.80, 138
67.15, 280
67.82, 141
71.04, 149



Simulated powder diffraction line list of La2Dy5 for Cu Kα, from a cell relaxed with PBE.
Peak positions follow from Bragg's law for the DFT cell and can differ from measured ones.

Structural model:
a = 11.372 Å, b = 5.093 Å, c = 8.093 Å
α = 90.00°, β = 98.17°, γ = 90.00°
Sites, in units of the cell vectors:
La1 0.072 0.000 0.217
La2 0.428 0.500 0.783
La3 0.572 0.500 0.217
La4 0.928 0.000 0.783
Dy1 0.000 0.500 0.500
Dy2 0.144 0.500 0.929
Dy3 0.213 0.000 0.643
Dy4 0.287 0.500 0.357
Dy5 0.356 0.000 0.071
Dy6 0.500 0.000 0.500
Dy7 0.644 0.000 0.929
Dy8 0.713 0.500 0.643
Dy9 0.787 0.000 0.357
Dy10 0.856 0.500 0.071

Principal peaks in the range 10° ≤ 2θ ≤ 90°, by angle:
Position (°2θ), intensity
30.36, 1000
35.09, 170
35.26, 336
50.56, 182
50.72, 180
59.97, 73
60.17, 144
60.25, 143
60.36, 71
63.07, 62



Simulated powder diffraction line list of HoTmU2As4 for Cu Kα, from a cell relaxed with PBE.
Peak positions follow from Bragg's law for the DFT cell and can differ from measured ones.

Structural model:
a = 7.017 Å, b = 4.050 Å, c = 7.155 Å
α = 90.00°, β = 109.07°, γ = 90.00°
Sites, in units of the cell vectors:
Ho1 0.000 0.000 0.000
Tm1 0.500 0.500 0.000
U1 0.000 0.500 0.500
U2 0.500 0.000 0.500
As1 0.251 0.500 0.249
As2 0.252 0.000 0.752
As3 0.748 0.000 0.248
As4 0.749 0.500 0.751

Principal peaks in the range 10° ≤ 2θ ≤ 90°, by angle:
Position (°2θ), intensity
26.36, 92
26.89, 264
30.99, 1000
44.06, 384
44.74, 367
55.42, 196
64.60, 125
72.88, 177
73.87, 171
82.00, 132



Simulated powder diffraction line list of ThGa4Au12 for Cu Kα, from a cell relaxed with PBE.
Peak positions follow from Bragg's law for the DFT cell and can differ from measured ones.

Structural model:
a = 7.792 Å, b = 7.792 Å, c = 7.792 Å
α = 109.47°, β = 109.47°, γ = 109.47°
Sites, in units of the cell vectors:
Th1 0.000 0.000 0.000
Ga1 0.000 0.000 0.500
Ga2 0.000 0.500 0.000
Ga3 0.500 0.000 0.000
Ga4 0.500 0.500 0.500
Au1 0.153 0.341 0.495
Au2 0.153 0.659 0.812
Au3 0.188 0.847 0.341
Au4 0.341 0.188 0.847
Au5 0.341 0.495 0.153
Au6 0.495 0.153 0.341
Au7 0.505 0.847 0.659
Au8 0.659 0.505 0.847
Au9 0.659 0.812 0.153
Au10 0.812 0.153 0.659
Au11 0.847 0.341 0.188
Au12 0.847 0.659 0.505

Principal peaks in the range 10° ≤ 2θ ≤ 90°, by angle:
Position (°2θ), intensity
31.44, 1000
37.40, 444
45.06, 104
49.64, 169
51.81, 322
59.95, 127
61.87, 140
71.06, 174
81.47, 102
84.85, 81



Simulated powder diffraction line list of CsTl2Ni2 for Cu Kα, from a cell relaxed with PBE.
Peak positions follow from Bragg's law for the DFT cell and can differ from measured ones.

Structural model:
a = 4.907 Å, b = 4.907 Å, c = 12.776 Å
α = 90.00°, β = 90.00°, γ = 90.00°
Sites, in units of the cell vectors:
Cs1 0.000 0.000 0.000
Cs2 0.500 0.500 0.500
Tl1 0.000 0.000 0.315
Tl2 0.000 0.000 0.685
Tl3 0.500 0.500 0.185
Tl4 0.500 0.500 0.815
Ni1 0.000 0.500 0.250
Ni2 0.000 0.500 0.750
Ni3 0.500 0.000 0.250
Ni4 0.500 0.000 0.750

Principal peaks in the range 10° ≤ 2θ ≤ 90°, by angle:
Position (°2θ), intensity
13.86, 372
25.68, 372
27.74, 1000
36.63, 412
39.34, 118
46.56, 493
50.28, 246
52.77, 144
72.98, 132
75.87, 144



Simulated powder diffraction line list of SrCaZr for Cu Kα, from a cell relaxed with PBE.
Peak positions follow from Bragg's law for the DFT cell and can differ from measured ones.

Structural model:
a = 3.883 Å, b = 3.883 Å, c = 15.018 Å
α = 90.00°, β = 90.00°, γ = 90.00°
Sites, in units of the cell vectors:
Sr1 0.000 0.000 0.000
Sr2 0.500 0.500 0.223
Ca1 0.000 0.000 0.424
Ca2 0.500 0.500 0.615
Zr1 0.000 0.000 0.763
Zr2 0.500 0.500 0.838

Principal peaks in the range 10° ≤ 2θ ≤ 90°, by angle:
Position (°2θ), intensity
11.79, 303
25.83, 309
29.10, 1000
29.74, 251
32.61, 793
33.18, 413
37.87, 252
44.72, 316
46.79, 279
56.05, 299



Simulated powder diffraction line list of EuPH5CO7 for Cu Kα, from a cell relaxed with PBE.
Peak positions follow from Bragg's law for the DFT cell and can differ from measured ones.

Structural model:
a = 6.713 Å, b = 7.093 Å, c = 7.694 Å
α = 70.24°, β = 84.26°, γ = 89.12°
Sites, in units of the cell vectors:
Eu1 0.133 0.224 0.061
Eu2 0.867 0.776 0.939
P1 0.326 0.742 0.018
P2 0.674 0.258 0.982
H1 0.172 0.516 0.673
H2 0.286 0.330 0.632
H3 0.378 0.704 0.199
H4 0.442 0.833 0.445
H5 0.463 0.242 0.367
H6 0.537 0.758 0.633
H7 0.558 0.167 0.555
H8 0.622 0.296 0.801
H9 0.714 0.670 0.368
H10 0.828 0.484 0.327
C1 0.069 0.911 0.500
C2 0.931 0.089 0.500
O1 0.058 0.761 0.647
O2 0.181 0.933 0.352
O3 0.182 0.572 0.023
O4 0.200 0.935 0.964
O5 0.202 0.372 0.726
O6 0.438 0.228 0.499
O7 0.479 0.238 0.109
O8 0.521 0.762 0.891
O9 0.562 0.772 0.501
O10 0.798 0.628 0.274
O11 0.800 0.065 0.036
O12 0.818 0.428 0.977
O13 0.819 0.067 0.648
O14 0.942 0.239 0.353

Principal peaks in the range 10° ≤ 2θ ≤ 90°, by angle:
Position (°2θ), intensity
12.29, 1000
13.26, 383
18.61, 142
19.00, 187
19.19, 206
24.72, 245
25.34, 218
26.71, 239
29.72, 534
47.47, 133



Simulated powder diffraction line list of MgSnPd for Cu Kα, from a cell relaxed with PBE.
Peak positions follow from Bragg's law for the DFT cell and can differ from measured ones.

Structural model:
a = 3.593 Å, b = 3.593 Å, c = 8.852 Å
α = 90.00°, β = 90.00°, γ = 90.00°
Sites, in units of the cell vectors:
Mg1 0.000 0.000 0.000
Mg2 0.500 0.500 0.500
Sn1 0.000 0.000 0.318
Sn2 0.500 0.500 0.818
Pd1 0.000 0.000 0.659
Pd2 0.500 0.500 0.159

Principal peaks in the range 10° ≤ 2θ ≤ 90°, by angle:
Position (°2θ), intensity
20.06, 208
26.78, 315
35.33, 687
39.52, 1000
40.96, 137
50.83, 244
66.23, 438
74.35, 153
85.09, 110
85.46, 113



Simulated powder diffraction line list of PbC7 for Cu Kα, from a cell relaxed with PBE.
Peak positions follow from Bragg's law for the DFT cell and can differ from measured ones.

Structural model:
a = 4.925 Å, b = 4.925 Å, c = 4.925 Å
α = 60.00°, β = 60.00°, γ = 60.00°
Sites, in units of the cell vectors:
Pb1 0.000 0.000 0.000
C1 0.000 0.000 0.500
C2 0.000 0.500 0.000
C3 0.000 0.500 0.500
C4 0.500 0.000 0.000
C5 0.500 0.000 0.500
C6 0.500 0.500 0.000
C7 0.500 0.500 0.500

Principal peaks in the range 10° ≤ 2θ ≤ 90°, by angle:
Position (°2θ), intensity
22.10, 1000
25.58, 533
36.49, 442
43.07, 568
45.09, 317
57.69, 248
59.34, 228
65.67, 170
70.21, 188
81.81, 193



Simulated powder diffraction line list of PmNd6N5 for Cu Kα, from a cell relaxed with PBE.
Peak positions follow from Bragg's law for the DFT cell and can differ from measured ones.

Structural model:
a = 6.707 Å, b = 6.707 Å, c = 12.725 Å
α = 90.00°, β = 90.00°, γ = 120.00°
Sites, in units of the cell vectors:
Pm1 0.000 0.000 0.250
Pm2 0.000 0.000 0.750
Nd1 0.000 0.397 0.117
Nd2 0.000 0.397 0.383
Nd3 0.000 0.603 0.617
Nd4 0.000 0.603 0.883
Nd5 0.397 0.000 0.117
Nd6 0.397 0.000 0.383
Nd7 0.397 0.397 0.617
Nd8 0.397 0.397 0.883
Nd9 0.603 0.000 0.617
Nd10 0.603 0.000 0.883
Nd11 0.603 0.603 0.117
Nd12 0.603 0.603 0.383
N1 0.000 0.345 0.750
N2 0.000 0.655 0.250
N3 0.333 0.667 0.000
N4 0.333 0.667 0.500
N5 0.345 0.000 0.750
N6 0.345 0.345 0.250
N7 0.655 0.000 0.250
N8 0.655 0.655 0.750
N9 0.667 0.333 0.000
N10 0.667 0.333 0.500

Principal peaks in the range 10° ≤ 2θ ≤ 90°, by angle:
Position (°2θ), intensity
20.71, 383
27.51, 878
28.05, 378
30.79, 767
32.08, 364
34.08, 1000
39.03, 661
46.93, 347
57.68, 459
61.58, 290